# Na3PbS8
Calculated X-ray diffraction stick pattern, Cu Ka. Input: DFT lattice parameters and positions (GGA-PBE).
Lines closer than 0.1° are merged.

Atomic structure:
```
Na3PbS8
1.0
4.9562 -5.4199 0.0000
4.9562 5.4199 0.0000
-2.5178 0.0000 5.4599
Na Pb S
3 1 8
Direct
0.0000 0.0000 0.0000 Na
0.3820 0.8825 0.5326 Na
0.8825 0.3820 0.5326 Na
0.5018 0.5018 0.0027 Pb
0.0279 0.0279 0.5230 S
0.1094 0.6156 0.0461 S
0.2318 0.2318 0.5180 S
0.4042 0.9144 0.0467 S
0.5261 0.5261 0.5303 S
0.6156 0.1094 0.0461 S
0.7353 0.7353 0.5375 S
0.9144 0.4042 0.0467 S
```

Largest 10 diffraction maxima, sorted by position, 2θ from 10° to 90°:
12.8 deg, I = 100; 16.4 deg, I = 31; 17.1 deg, I = 51; 25.7 deg, I = 99; 32.8 deg, I = 52; 33.1 deg, I = 53; 34.9 deg, I = 31; 43.3 deg, I = 40; 43.5 deg, I = 40; 47.3 deg, I = 35

---

# RbErSnCl6
Calculated X-ray diffraction stick pattern, Cu Ka. Input: DFT lattice parameters and positions (GGA-PBE).
Lines closer than 0.1° are merged.

Atomic structure:
```
RbErSnCl6
1.0
7.2464 0.0000 0.0000
-3.6232 6.2756 0.0000
0.0000 0.0000 7.1327
Rb Er Sn Cl
1 1 1 6
Direct
0.0000 0.0000 0.0000 Rb
0.6667 0.3333 0.5000 Er
0.3333 0.6667 0.5000 Sn
0.3826 0.0238 0.7125 Cl
0.3826 0.3588 0.2875 Cl
0.6412 0.0238 0.2875 Cl
0.6412 0.6174 0.7125 Cl
0.9762 0.3588 0.7125 Cl
0.9762 0.6174 0.2875 Cl
```

Largest 10 diffraction maxima, sorted by position, 2θ from 10° to 90°:
12.4 deg, I = 47; 14.1 deg, I = 18; 18.8 deg, I = 100; 24.6 deg, I = 33; 27.6 deg, I = 42; 31.1 deg, I = 24; 35.3 deg, I = 78; 40.1 deg, I = 30; 43.3 deg, I = 29; 57.0 deg, I = 17

---

# PmGdRh
Calculated X-ray diffraction stick pattern, Cu Ka. Input: DFT lattice parameters and positions (GGA-PBE).
Lines closer than 0.1° are merged.

Atomic structure:
```
PmGdRh
1.0
4.5634 0.0000 0.0000
-2.2817 3.9520 0.0000
0.0000 0.0000 4.2939
Pm Gd Rh
1 1 1
Direct
0.0000 0.0000 0.0000 Pm
0.6667 0.3333 0.5364 Gd
0.3333 0.6667 0.2882 Rh
```

Largest 10 diffraction maxima, sorted by position, 2θ from 10° to 90°:
30.7 deg, I = 100; 39.5 deg, I = 51; 48.2 deg, I = 23; 50.9 deg, I = 24; 59.1 deg, I = 7; 64.0 deg, I = 10; 66.2 deg, I = 22; 69.9 deg, I = 7; 71.6 deg, I = 9; 77.9 deg, I = 11

---

# TmPu2Ru3
Calculated X-ray diffraction stick pattern, Cu Ka. Input: DFT lattice parameters and positions (GGA-PBE).
Lines closer than 0.1° are merged.

Atomic structure:
```
TmPu2Ru3
1.0
3.3557 0.0000 0.0000
0.0000 3.3557 0.0000
0.0000 0.0000 10.2245
Tm Pu Ru
1 2 3
Direct
0.0000 0.0000 0.0000 Tm
0.0000 0.0000 0.3326 Pu
0.0000 0.0000 0.6674 Pu
0.5000 0.5000 0.1734 Ru
0.5000 0.5000 0.5000 Ru
0.5000 0.5000 0.8266 Ru
```

Largest 10 diffraction maxima, sorted by position, 2θ from 10° to 90°:
26.1 deg, I = 7; 26.6 deg, I = 14; 37.6 deg, I = 100; 37.9 deg, I = 49; 46.6 deg, I = 7; 53.8 deg, I = 9; 54.7 deg, I = 17; 67.7 deg, I = 18; 68.3 deg, I = 35; 80.3 deg, I = 11